Calculated PXRD pattern of Pa3Be2Co6 for Cu Kα X-rays, from a cell relaxed with GGA-PBE.
Kinematic intensities with the Lorentz-polarization factor, no thermal factor.

Cell and atoms:
Unit cell a=8.4931 b=8.4931 c=8.4931 alpha=90.00 beta=90.00 gamma=90.00
Space group Im-3m (No. 229)
Unique sites:
Pa1 0.0000 0.0000 0.2799 [12 per cell]
Be1 0.2500 0.2500 0.2500 [8 per cell]
Co1 0.0000 0.3473 0.3473 [24 per cell]

Largest 10 diffraction maxima, low angle first, 2θ from 15° to 90°:
d_spacing, two_theta, I (rel.), (hkl)
4.247, 20.92, 34, 2 0 0
3.467, 25.69, 47, 2 1 1
3.003, 29.75, 26, 2 2 0
2.686, 33.36, 48, 3 1 0
2.452, 36.65, 56, 2 2 2
2.270, 39.71, 35, 3 2 1
2.123, 42.58, 25, 4 0 0
2.002, 45.30, 100, 3 3 0
1.551, 59.63, 38, 5 2 1
1.156, 83.68, 24, 5 5 2